AlH3: simulated powder diffraction line list (copper Kα), based on the GGA-PBE geometry in the Materials Project.
Lines closer than 0.1° are merged.

Top 10 peaks for 2θ from 15° to 90°, most intense first:
- hkl 2 2 0, 2θ = 31.9°, I 100
- hkl 0 0 2, 2θ = 27.3°, I 84
- hkl 1 1 0, 2θ = 15.8°, I 80
- hkl 2 2 2, 2θ = 42.5°, I 75
- hkl 0 4 0, 2θ = 32.5°, I 42
- hkl 0 4 2, 2θ = 43.0°, I 39
- hkl 0 2 0, 2θ = 16.1°, I 39
- hkl 2 6 2, 2θ = 64.9°, I 23
- hkl 2 2 4, 2θ = 66.2°, I 22
- hkl 1 1 2, 2θ = 31.7°, I 20

Structure:
```
data_AlH3
_chemical_formula_sum 'Al12 H36'
_cell_length_a 6.5136
_cell_length_b 11.0162
_cell_length_c 6.5347
_cell_angle_alpha 90.00
_cell_angle_beta 90.00
_cell_angle_gamma 90.00
_symmetry_space_group_name_H-M 'C m c m'
_symmetry_Int_Tables_number 63
_symmetry_space_group_name_Hall '-C 2c 2'
loop_
_atom_site_label
_atom_site_type_symbol
_atom_site_fract_x
_atom_site_fract_y
_atom_site_fract_z
_atom_site_occupancy
Al1 Al 0.0000 0.0000 0.0000 1
Al2 Al 0.2500 0.2500 0.0000 1
H1 H 0.0000 0.0531 0.2500 1
H2 H 0.0000 0.2831 0.0663 1
H3 H 0.1922 0.1013 0.5618 1
H4 H 0.1984 0.2935 0.7500 1
```